Record 1
This entry pairs a crystal structure of U3Tl3Te8Au with its theoretical X-ray diffraction stick pattern. Radiation: copper Kα. Structure: a cell relaxed with PBE.
Lines closer than 0.1° are merged.

Largest 10 diffraction maxima, sorted by position, 2θ from 10° to 90°:
2θ (°)  I/Imax  hkl
10.74  17  0 0 1
27.57  100  2 2 -2
28.18  43  4 0 0
36.84  39  2 2 2
39.38  37  4 0 -4
42.65  29  6 2 -2
43.99  13  0 0 4
49.15  19  4 4 0
56.90  15  4 4 -4
64.38  16  6 2 -6

a = 14.3701 Å, b = 9.1450 Å, c = 9.3430 Å
α = 90.00°, β = 118.19°, γ = 90.00°
Space group C2/m (No. 12)
Symmetry-distinct sites (fractional):
U 0.0000 0.0000 0.0000 x2
U 0.2500 0.2500 0.0000 x4
Tl 0.0000 0.5000 0.5000 x2
Tl 0.2500 0.2500 0.5000 x4
Te 0.0188 0.2205 0.7724 x8
Te 0.2120 0.5000 0.1921 x4
Te 0.2407 0.0000 0.2179 x4
Au 0.0000 0.5000 0.0000 x2

=====

Record 2
This entry pairs a crystal structure of LiMgNi2H8 with its theoretical X-ray diffraction stick pattern. Radiation: copper Kα. Structure: a cell relaxed with PBE.
Lines closer than 0.1° are merged.

Largest 10 diffraction maxima, sorted by position, 2θ from 10° to 90°:
2θ (°)  I/Imax  hkl
19.63  100  0 0 3
22.62  9  1 0 1
25.36  35  0 1 2
37.95  70  1 1 0
39.84  33  0 0 6
43.08  69  1 1 3
56.21  32  1 1 6
68.56  11  3 0 0
72.10  14  0 3 3
84.50  9  4 -2 3

a = 4.7414 Å, b = 4.7414 Å, c = 13.5649 Å
α = 90.00°, β = 90.00°, γ = 120.00°
Space group R-3 (No. 148, hexagonal axes)
Symmetry-distinct sites (fractional):
Li 0.0000 0.0000 0.0000 x3
Mg 0.0000 0.0000 0.5000 x3
Ni 0.0000 0.0000 0.1890 x6
H 0.0000 0.0000 0.3070 x6
H 0.0418 0.6221 0.5592 x18